1.
Simulated PXRD pattern of Li2Th3Si3 for Cu Kα (λ = 1.5418 Å), from a cell relaxed with GGA-PBE.
No peak broadening, texture or thermal motion is included.

```
16
Lattice="2.140 -5.591 0.000 2.140 5.591 0.000 0.000 0.000 14.620" Properties=species:S:1:pos:R:3 pbc="T T T"
Li 2.140 3.175 8.509
Li 2.140 3.175 13.421
Li 2.140 -3.175 1.199
Li 2.140 -3.175 6.111
Th 2.140 4.693 1.664
Th 2.140 4.693 5.646
Th 2.140 1.421 3.655
Th 2.140 -1.421 10.965
Th 2.140 -4.693 8.974
Th 2.140 -4.693 12.955
Si 2.140 1.870 10.965
Si 2.140 1.112 0.606
Si 2.140 1.112 6.704
Si 2.140 -1.112 7.916
Si 2.140 -1.112 14.013
Si 2.140 -1.870 3.655
```

Main lines, low angle first (2θ from 10° to 80°):
two_theta	Rel. int.
23.1	59
24.2	75
32.4	70
33.2	100
36.9	28
42.2	24
49.3	37
52.5	24


2.
Simulated PXRD pattern of Dy3Cu2Ag4 for Cu Kα (λ = 1.5418 Å), from a cell relaxed with GGA-PBE.
No peak broadening, texture or thermal motion is included.

```
9
Lattice="5.260 -2.301 0.000 5.260 2.301 0.000 -3.782 0.000 7.819" Properties=species:S:1:pos:R:3 pbc="T T T"
Dy 0.000 0.000 0.000
Dy 2.074 0.000 2.739
Dy 4.665 0.000 5.079
Cu 1.541 0.000 5.749
Cu 5.198 0.000 2.070
Ag -1.004 0.000 2.866
Ag -0.575 0.000 7.313
Ag 7.314 0.000 0.506
Ag 7.742 0.000 4.953
```

Main lines, low angle first (2θ from 10° to 80°):
two_theta	Rel. int.
22.3	8
34.4	100
39.2	66
53.1	26
53.3	9
67.9	23
68.0	14
71.0	10


3.
Simulated PXRD pattern of CaAc3Pb4 for Cu Kα (λ = 1.5418 Å), from a cell relaxed with GGA-PBE.
No peak broadening, texture or thermal motion is included.

```
8
Lattice="4.674 0.000 0.000 0.000 5.365 0.000 0.000 0.000 11.006" Properties=species:S:1:pos:R:3 pbc="T T T"
Ca 0.000 0.000 0.000
Ac 0.000 0.000 5.503
Ac 0.000 2.682 2.655
Ac 0.000 2.682 8.351
Pb 2.337 0.000 2.627
Pb 2.337 0.000 8.378
Pb 2.337 2.682 0.000
Pb 2.337 2.682 5.503
```

Main lines, low angle first (2θ from 10° to 80°):
two_theta	Rel. int.
30.1	100
32.5	20
33.4	19
38.5	13
47.3	14
56.6	16
57.7	17
62.6	13


4.
Simulated PXRD pattern of Pm7Ho2Er for Cu Kα (λ = 1.5418 Å), from a cell relaxed with GGA-PBE.
No peak broadening, texture or thermal motion is included.

```
10
Lattice="4.391 -8.333 0.000 4.391 8.333 0.000 0.000 0.000 5.566" Properties=species:S:1:pos:R:3 pbc="T T T"
Pm 0.000 0.000 0.000
Pm 2.823 1.862 0.000
Pm 4.391 3.537 2.783
Pm 2.823 -1.862 0.000
Pm 5.959 1.862 0.000
Pm 4.391 -3.537 2.783
Pm 5.959 -1.862 0.000
Ho 4.391 4.913 0.000
Ho 4.391 -4.913 0.000
Er 4.391 0.000 2.783
```

Main lines, low angle first (2θ from 10° to 80°):
two_theta	Rel. int.
15.9	41
26.7	24
29.6	48
32.2	47
32.9	100
35.1	54
44.2	37
61.5	24